(1)
# Ga2Sn2Au
Simulated powder XRD pattern, a wavelength of 1.5418 Å. Input: the GGA-PBE geometry in Alexandria.
Peak positions follow from Bragg's law for the DFT cell and can differ from measured ones.

Structural model:
abc: 3.6984 3.6984 16.8392
angles: 90.00 90.00 90.00
Fractional positions:
Ga  0.0000  0.5000  0.2500
Ga  0.0000  0.5000  0.7500
Ga  0.5000  0.0000  0.2500
Ga  0.5000  0.0000  0.7500
Sn  0.0000  0.0000  0.0964
Sn  0.0000  0.0000  0.9036
Sn  0.5000  0.5000  0.4036
Sn  0.5000  0.5000  0.5964
Au  0.0000  0.0000  0.5000
Au  0.5000  0.5000  0.0000

Top 10 peaks for 10° ≤ 2θ ≤ 90°, sorted by position:
hkl  2θ (°)  intensity
0 0 2  10.51  39
1 0 3  28.91  61
1 1 0  34.29  26
1 1 2  35.96  97
1 0 5  36.07  100
1 0 7  44.95  27
2 0 0  49.28  37
2 1 5  62.57  42
1 1 10  65.98  31
3 0 5  83.46  27

***

(2)
# LaPm2Ho9
Simulated powder XRD pattern, a wavelength of 1.5418 Å. Input: the GGA-PBE geometry in Alexandria.
Peak positions follow from Bragg's law for the DFT cell and can differ from measured ones.

Structural model:
abc: 11.2910 11.2910 3.5266
angles: 90.00 90.00 120.00
Fractional positions:
La  0.0000  0.0000  0.0000
Pm  0.3333  0.6667  0.0000
Pm  0.6667  0.3333  0.0000
Ho  0.0000  0.5000  0.0000
Ho  0.1773  0.3547  0.5000
Ho  0.1773  0.8227  0.5000
Ho  0.3547  0.1773  0.5000
Ho  0.5000  0.0000  0.0000
Ho  0.5000  0.5000  0.0000
Ho  0.6453  0.8227  0.5000
Ho  0.8227  0.1773  0.5000
Ho  0.8227  0.6453  0.5000

Top 10 peaks for 10° ≤ 2θ ≤ 90°, sorted by position:
hkl  2θ (°)  intensity
1 1 1  29.87  23
2 0 1  31.27  56
2 2 0  31.70  100
2 1 1  35.17  21
3 0 1  37.58  14
4 0 1  45.13  19
4 2 1  56.20  20
6 0 0  56.46  17
2 2 2  62.06  29
6 0 2  80.20  13